# TmZrCd2Au4
Computed X-ray diffraction stick pattern, Cu Kα (weighted mean of Kα1 and Kα2). Input: a PBE-relaxed structure.
No peak broadening, texture or thermal motion is included.

Most intense lines, 15 to 90 degrees two-theta, low angle first:
2θ/deg  d_spacing  intensity  index
18.3  4.844  1  1 0 0
26.0  3.425  7  1 1 0
29.1  3.064  1  1 1 1
37.1  2.422  100  2 0 0
45.9  1.977  2  2 0 2
53.5  1.712  17  2 2 0
60.4  1.532  3  3 1 0
66.9  1.398  35  3 1 2
79.1  1.211  11  4 0 0
85.0  1.142  2  3 3 0

Cell lengths 4.844, 4.844, 6.847 Å; angles 90.00, 90.00, 90.00 degrees
Fractional positions:
Tm 0.000 0.000 0.000
Zr 0.500 0.500 0.500
Cd 0.000 0.000 0.500
Cd 0.500 0.500 0.000
Au 0.000 0.500 0.258
Au 0.000 0.500 0.742
Au 0.500 0.000 0.258
Au 0.500 0.000 0.742